Starting from a cell relaxed with PBE, the PXRD pattern of UNbVC3 was calculated for Cu Kα.
Kinematic intensities with the Lorentz-polarization factor, no thermal factor.

Crystal structure
Cell: 6.816 3.125 7.759 Å, 90.00 98.41 90.00°
Space group P2_1/m (No. 11)
Symmetry-distinct sites (fractional):
U  0.158  0.250  0.187 [2 per cell]
Nb  0.356  0.750  0.870 [2 per cell]
V  0.133  0.250  0.591 [2 per cell]
C  0.122  0.250  0.864 [2 per cell]
C  0.170  0.750  0.440 [2 per cell]
C  0.414  0.750  0.149 [2 per cell]

Main lines, in order of rising 2θ (2θ from 5° to 70°):
- 11.53°, I 93, (0 0 1)
- 13.13°, I 57, (1 0 0)
- 18.74°, I 41, (1 0 1)
- 27.29°, I 33, (2 0 -1)
- 30.48°, I 50, (2 0 1)
- 30.89°, I 77, (0 1 1)
- 32.69°, I 64, (2 0 -2)
- 35.07°, I 48, (0 0 3)
- 37.10°, I 76, (0 1 2)
- 39.31°, I 100, (2 1 0)
- 39.92°, I 37, (2 1 -1)
- 50.77°, I 33, (2 1 -3)